Structure and theoretical powder XRD pattern of La5PmNd4 (DFT lattice parameters and positions (GGA-PBE); λ = 1.5418 Å (Cu Kα)).

```
La5PmNd4
1.0
8.956 -1.830 0.000
8.956 1.830 0.000
-0.046 0.000 11.333
La Pm Nd
5 1 4
Direct
0.000 0.000 0.000
0.326 0.326 0.059
0.326 0.326 0.443
0.674 0.674 0.557
0.674 0.674 0.941
0.000 0.000 0.500
0.150 0.150 0.249
0.472 0.472 0.251
0.528 0.528 0.749
0.850 0.850 0.751
```

Most intense lines, 2θ = 10–90°, most intense first:
32.8 deg, rel. 100; 29.9 deg, rel. 30; 26.1 deg, rel. 26; 25.6 deg, rel. 21; 30.9 deg, rel. 18; 31.0 deg, rel. 17; 31.6 deg, rel. 16; 47.5 deg, rel. 14